The following is a calculated XRD peak list of GdSI. It was derived from the PBE geometry in the Materials Project, using CuKα.
Intensities are scaled so that the largest is 100.

Atomic structure:
```
data_GdSI
_chemical_formula_sum 'Gd3 S3 I3'
_cell_length_a 9.4244
_cell_length_b 9.4244
_cell_length_c 4.4413
_cell_angle_alpha 90.00
_cell_angle_beta 90.00
_cell_angle_gamma 120.00
_symmetry_space_group_name_H-M 'P -6 m 2'
_symmetry_Int_Tables_number 187
_symmetry_space_group_name_Hall 'P -6 2'
loop_
_atom_site_label
_atom_site_type_symbol
_atom_site_fract_x
_atom_site_fract_y
_atom_site_fract_z
Gd1 Gd 0.0053 0.5027 0.0000
S1 S 0.3943 0.1972 0.0000
I1 I 0.1892 0.3784 0.5000
```

Top 10 peaks for 2θ from 15° to 90°, in order of falling intensity:
hkl 2 0 1, d = 3.005 Å, intensity 100; hkl 2 2 0, d = 2.356 Å, intensity 34; hkl 1 1 0, d = 4.712 Å, intensity 25; hkl 1 0 1, d = 3.901 Å, intensity 23; hkl 2 0 0, d = 4.081 Å, intensity 23; hkl 2 2 2, d = 1.616 Å, intensity 21; hkl 4 0 1, d = 1.854 Å, intensity 20; hkl 2 1 1, d = 2.534 Å, intensity 20; hkl 4 2 1, d = 1.457 Å, intensity 17; hkl 0 0 2, d = 2.221 Å, intensity 13